[1]
Theoretical X-ray powder pattern of NaSrYWO6 for Cu Kα (λ = 1.5418 Å), from a DFT-relaxed cell (GGA+U, the Materials Project).
Peak positions follow from Bragg's law for the DFT cell and can differ from measured ones.

Atomic structure:
```
NaSrYWO6
1.0
0.000 4.172 4.172
4.172 0.000 4.172
4.172 4.172 0.000
Na Sr Y W O
1 1 1 1 6
Cartesian
0.000 0.000 0.000 Na
4.172 4.172 4.172 Sr
2.086 2.086 2.086 Y
6.258 6.258 6.258 W
6.258 6.258 4.311 O
6.258 4.311 6.258 O
8.205 6.258 6.258 O
4.311 6.258 6.258 O
6.258 8.205 6.258 O
6.258 6.258 8.205 O
```

The 8 most intense peaks (2θ from 10° to 80°), low angle first:
| 2θ (°) | Rel. int. |
| --- | --- |
| 18.42 | 25 |
| 21.30 | 37 |
| 30.30 | 100 |
| 43.38 | 34 |
| 48.81 | 15 |
| 53.82 | 40 |
| 63.02 | 21 |
| 71.51 | 18 |

---

[2]
Theoretical X-ray powder pattern of Li4TiFe5O12 for Cu Kα (λ = 1.5418 Å), from a DFT-relaxed cell (GGA+U, the Materials Project).
Peak positions follow from Bragg's law for the DFT cell and can differ from measured ones.

Atomic structure:
```
Li4TiFe5O12
1.0
2.583 -4.452 0.000
2.583 4.452 0.000
-0.201 0.000 10.265
Li Ti Fe O
4 1 5 12
Cartesian
1.863 2.271 7.695 Li
3.101 2.271 2.571 Li
1.863 -2.271 7.695 Li
3.101 -2.271 2.571 Li
-0.101 0.000 5.133 Ti
2.583 2.989 0.000 Fe
2.482 1.456 5.133 Fe
2.583 0.000 0.000 Fe
2.482 -1.456 5.133 Fe
2.583 -2.989 0.000 Fe
1.681 2.954 4.024 O
1.784 1.491 1.096 O
0.773 0.000 9.291 O
1.546 0.000 4.136 O
3.283 2.954 6.241 O
3.180 1.491 9.169 O
1.784 -1.491 1.096 O
1.681 -2.954 4.024 O
3.418 0.000 6.130 O
4.191 0.000 0.975 O
3.180 -1.491 9.169 O
3.283 -2.954 6.241 O
```

The 8 most intense peaks (2θ from 10° to 80°), low angle first:
| 2θ (°) | Rel. int. |
| --- | --- |
| 17.28 | 100 |
| 35.90 | 15 |
| 36.07 | 16 |
| 39.35 | 12 |
| 43.81 | 17 |
| 44.25 | 16 |
| 57.12 | 9 |
| 57.72 | 9 |

---

[3]
Theoretical X-ray powder pattern of Cs2FeCl5O for Cu Kα (λ = 1.5418 Å), from a DFT-relaxed cell (GGA+U, the Materials Project).
Peak positions follow from Bragg's law for the DFT cell and can differ from measured ones.

Atomic structure:
```
Cs2FeCl5O
1.0
3.586 -8.875 0.000
3.586 8.875 0.000
0.000 0.000 8.790
Cs Fe Cl O
4 2 10 2
Cartesian
3.586 8.333 6.593 Cs
3.586 4.173 2.198 Cs
3.586 -4.173 6.593 Cs
3.586 -8.333 2.198 Cs
3.586 2.085 6.593 Fe
3.586 -2.085 2.198 Fe
1.891 2.039 4.896 Cl
1.891 2.039 8.289 Cl
3.586 4.379 6.593 Cl
1.891 -2.039 0.501 Cl
1.891 -2.039 3.894 Cl
5.281 2.039 4.896 Cl
5.281 2.039 8.289 Cl
3.586 -4.379 2.198 Cl
5.281 -2.039 0.501 Cl
5.281 -2.039 3.894 Cl
3.586 0.298 6.593 O
3.586 -0.298 2.198 O
```

The 8 most intense peaks (2θ from 10° to 80°), low angle first:
| 2θ (°) | Rel. int. |
| --- | --- |
| 19.45 | 43 |
| 20.20 | 45 |
| 21.94 | 100 |
| 28.19 | 30 |
| 28.59 | 56 |
| 31.92 | 32 |
| 32.10 | 57 |
| 32.22 | 94 |